No. 1
Li2NdMg9: theoretical X-ray powder pattern (CuKα), based on a crystal structure in Alexandria, relaxed with GGA-PBE.
Neutral-atom scattering factors, no anomalous dispersion.

Unit cell a=9.9422 b=9.9422 c=3.2749 alpha=90.00 beta=90.00 gamma=120.00
Positions (direct):
Li (0.3333, 0.6667, 0.0000)
Li (0.6667, 0.3333, 0.0000)
Nd (0.0000, 0.0000, 0.0000)
Mg (0.0000, 0.5000, 0.0000)
Mg (0.1809, 0.3619, 0.5000)
Mg (0.1809, 0.8191, 0.5000)
Mg (0.3619, 0.1809, 0.5000)
Mg (0.5000, 0.0000, 0.0000)
Mg (0.5000, 0.5000, 0.0000)
Mg (0.6381, 0.8191, 0.5000)
Mg (0.8191, 0.1809, 0.5000)
Mg (0.8191, 0.6381, 0.5000)

Top 10 peaks for 15 to 90 degrees two-theta, most intense first:
- 2.606 Å, 34.4 deg, rel. 100
- 2.486 Å, 36.1 deg, rel. 71
- 3.254 Å, 27.4 deg, rel. 61
- 4.305 Å, 20.6 deg, rel. 43
- 2.735 Å, 32.7 deg, rel. 42
- 1.799 Å, 50.8 deg, rel. 30
- 1.457 Å, 63.9 deg, rel. 29
- 2.158 Å, 41.9 deg, rel. 23
- 1.629 Å, 56.5 deg, rel. 23
- 1.367 Å, 68.6 deg, rel. 21

***

No. 2
LiMg14Ni: theoretical X-ray powder pattern (CuKα), based on a crystal structure in Alexandria, relaxed with GGA-PBE.
Neutral-atom scattering factors, no anomalous dispersion.

Unit cell a=9.3065 b=6.1622 c=6.1622 alpha=77.53 beta=90.00 gamma=90.00
Positions (direct):
Li (0.0000, 0.0000, 0.0000)
Mg (0.0000, 0.5279, 0.9568)
Mg (0.0000, 0.9568, 0.5279)
Mg (0.2195, 0.2898, 0.7038)
Mg (0.2195, 0.7038, 0.2898)
Mg (0.2233, 0.2274, 0.2274)
Mg (0.2714, 0.7770, 0.7770)
Mg (0.5000, 0.0089, 0.0089)
Mg (0.5000, 0.0597, 0.4897)
Mg (0.5000, 0.4897, 0.0597)
Mg (0.5000, 0.5416, 0.5416)
Mg (0.7286, 0.7770, 0.7770)
Mg (0.7767, 0.2274, 0.2274)
Mg (0.7805, 0.2898, 0.7038)
Mg (0.7805, 0.7038, 0.2898)
Ni (0.0000, 0.4136, 0.4136)

Top 10 peaks for 15 to 90 degrees two-theta, most intense first:
- 2.526 Å, 35.5 deg, rel. 100
- 2.327 Å, 38.7 deg, rel. 29
- 2.402 Å, 37.4 deg, rel. 25
- 5.053 Å, 17.6 deg, rel. 20
- 1.929 Å, 47.1 deg, rel. 10
- 2.141 Å, 42.2 deg, rel. 10
- 2.863 Å, 31.2 deg, rel. 10
- 2.192 Å, 41.2 deg, rel. 9
- 1.485 Å, 62.5 deg, rel. 9
- 2.497 Å, 36.0 deg, rel. 9

***

No. 3
Li3MgNi: theoretical X-ray powder pattern (CuKα), based on a crystal structure in Alexandria, relaxed with GGA-PBE.
Neutral-atom scattering factors, no anomalous dispersion.

Unit cell a=4.0728 b=7.6424 c=7.6424 alpha=130.16 beta=90.00 gamma=90.00
Positions (direct):
Li (0.2500, 0.0773, 0.9227)
Li (0.2500, 0.6430, 0.8864)
Li (0.2500, 0.7791, 0.3248)
Li (0.7500, 0.3248, 0.7791)
Li (0.7500, 0.8864, 0.6430)
Li (0.7500, 0.9227, 0.0773)
Mg (0.2500, 0.2322, 0.4266)
Mg (0.7500, 0.4266, 0.2322)
Ni (0.2500, 0.6297, 0.5429)
Ni (0.7500, 0.5429, 0.6297)

Top 10 peaks for 15 to 90 degrees two-theta, most intense first:
- 5.840 Å, 15.2 deg, rel. 100
- 2.373 Å, 37.9 deg, rel. 22
- 2.041 Å, 44.4 deg, rel. 18
- 2.159 Å, 41.8 deg, rel. 17
- 2.760 Å, 32.4 deg, rel. 17
- 3.754 Å, 23.7 deg, rel. 15
- 2.010 Å, 45.1 deg, rel. 12
- 1.923 Å, 47.3 deg, rel. 10
- 2.036 Å, 44.5 deg, rel. 9
- 2.920 Å, 30.6 deg, rel. 9

***

Question: What is the formula in the first record?
Answer: Li2NdMg9

***

Copy entry 1 word for word.
Li2NdMg9: theoretical X-ray powder pattern (CuKα), based on a crystal structure in Alexandria, relaxed with GGA-PBE.
Neutral-atom scattering factors, no anomalous dispersion.

Unit cell a=9.9422 b=9.9422 c=3.2749 alpha=90.00 beta=90.00 gamma=120.00
Positions (direct):
Li (0.3333, 0.6667, 0.0000)
Li (0.6667, 0.3333, 0.0000)
Nd (0.0000, 0.0000, 0.0000)
Mg (0.0000, 0.5000, 0.0000)
Mg (0.1809, 0.3619, 0.5000)
Mg (0.1809, 0.8191, 0.5000)
Mg (0.3619, 0.1809, 0.5000)
Mg (0.5000, 0.0000, 0.0000)
Mg (0.5000, 0.5000, 0.0000)
Mg (0.6381, 0.8191, 0.5000)
Mg (0.8191, 0.1809, 0.5000)
Mg (0.8191, 0.6381, 0.5000)

Top 10 peaks for 15 to 90 degrees two-theta, most intense first:
- 2.606 Å, 34.4 deg, rel. 100
- 2.486 Å, 36.1 deg, rel. 71
- 3.254 Å, 27.4 deg, rel. 61
- 4.305 Å, 20.6 deg, rel. 43
- 2.735 Å, 32.7 deg, rel. 42
- 1.799 Å, 50.8 deg, rel. 30
- 1.457 Å, 63.9 deg, rel. 29
- 2.158 Å, 41.9 deg, rel. 23
- 1.629 Å, 56.5 deg, rel. 23
- 1.367 Å, 68.6 deg, rel. 21

***

Question: What is the formula in the second record?
Answer: LiMg14Ni